Na2CrPCO7: computed PXRD pattern (λ = 1.5418 Å (Cu Kα)), based on the GGA+U geometry in the Materials Project.
Neutral-atom scattering factors, no anomalous dispersion.

Main lines, sorted by position (10 to 90 degrees two-theta):
hkl	2θ/deg	d/Å	I_rel
0 1 1	16.8	5.292	75
1 1 0	21.7	4.088	33
1 1 1	24.1	3.689	40
1 0 -2	25.7	3.470	69
0 2 0	27.3	3.269	57
1 2 -1	33.7	2.663	39
1 0 -3	33.9	2.642	100
2 0 0	34.2	2.619	52
1 1 3	37.6	2.393	28
0 4 0	56.3	1.635	25

```
Na2CrPCO7
1.0
5.241 0.000 0.000
0.000 6.539 0.000
-0.281 0.000 9.011
Na Cr P C O
4 2 2 2 14
Direct
0.239 0.009 0.267
0.239 0.491 0.267
0.761 0.509 0.733
0.761 0.991 0.733
0.214 0.250 0.851
0.786 0.750 0.149
0.283 0.750 0.925
0.717 0.250 0.075
0.276 0.250 0.582
0.724 0.750 0.418
0.051 0.250 0.644
0.150 0.750 0.077
0.203 0.559 0.833
0.203 0.941 0.833
0.309 0.250 0.445
0.420 0.250 0.047
0.466 0.250 0.683
0.534 0.750 0.317
0.580 0.750 0.953
0.691 0.750 0.555
0.797 0.059 0.167
0.797 0.441 0.167
0.850 0.250 0.923
0.949 0.750 0.356
```